[1]
This entry pairs a crystal structure of La3BiPt8 with its computed X-ray powder pattern. Radiation: copper Kα. Structure: the PBE geometry in Alexandria.
Kinematic intensities with the Lorentz-polarization factor, no thermal factor.

The 12 most intense peaks (10° ≤ 2θ ≤ 80°), low angle first:
2θ/deg	d [Å]	I (rel.)
19.6	4.536	180
32.2	2.782	135
32.3	2.772	122
38.0	2.370	1000
38.1	2.363	281
39.7	2.270	452
39.9	2.259	172
46.2	1.964	119
61.2	1.514	195
61.3	1.512	140
67.3	1.391	199
67.6	1.386	171

Cell and atoms:
```
La3BiPt8
1.0
2.782 1.606 9.037
-2.782 1.606 9.037
0.000 -3.212 9.037
La Bi Pt
3 1 8
Cartesian
0.000 0.000 0.000
0.000 0.000 3.497
0.000 0.000 16.710
0.000 0.000 13.293
-1.405 -0.811 10.654
0.000 -1.623 6.238
-1.405 0.811 6.238
0.000 0.000 8.450
1.405 -0.811 10.654
0.000 1.622 10.654
1.405 0.811 6.238
0.000 0.000 22.010
```



[2]
This entry pairs a crystal structure of SmTcF with its computed X-ray powder pattern. Radiation: copper Kα. Structure: the PBE geometry in Alexandria.
Kinematic intensities with the Lorentz-polarization factor, no thermal factor.

The 12 most intense peaks (10° ≤ 2θ ≤ 80°), low angle first:
2θ/deg	d [Å]	I (rel.)
11.0	8.076	335
25.6	3.483	281
29.3	3.043	1000
31.4	2.848	652
33.3	2.692	233
36.4	2.468	607
44.6	2.032	788
48.8	1.867	242
54.3	1.690	177
56.8	1.622	299
65.1	1.432	224
67.3	1.391	176

Cell and atoms:
```
SmTcF
1.0
2.032 1.173 8.076
-2.032 1.173 8.076
0.000 -2.347 8.076
Sm Tc F
2 2 2
Cartesian
0.000 0.000 2.264
0.000 0.000 21.965
0.000 0.000 8.294
0.000 0.000 15.935
0.000 0.000 4.695
0.000 0.000 19.534
```



[3]
This entry pairs a crystal structure of Dy3Ag3Rh2 with its computed X-ray powder pattern. Radiation: copper Kα. Structure: the PBE geometry in Alexandria.
Kinematic intensities with the Lorentz-polarization factor, no thermal factor.

The 12 most intense peaks (10° ≤ 2θ ≤ 80°), low angle first:
2θ/deg	d [Å]	I (rel.)
28.0	3.186	116
34.5	2.596	1000
37.4	2.402	606
37.6	2.395	678
42.8	2.112	124
49.5	1.843	176
52.0	1.757	142
58.2	1.586	295
63.7	1.461	277
69.5	1.352	150
73.1	1.294	152
74.6	1.272	98

Cell and atoms:
```
Dy3Ag3Rh2
1.0
7.315 0.000 0.000
-3.658 6.335 0.000
0.000 0.000 3.686
Dy Ag Rh
3 3 2
Cartesian
-2.143 3.711 0.000
1.515 2.624 0.000
4.285 0.000 0.000
-0.829 1.435 1.843
1.657 0.000 1.843
2.829 4.900 1.843
0.000 4.224 1.843
3.658 2.112 1.843
```



[4]
This entry pairs a crystal structure of Cd3GaTe4 with its computed X-ray powder pattern. Radiation: copper Kα. Structure: the PBE geometry in Alexandria.
Kinematic intensities with the Lorentz-polarization factor, no thermal factor.

The 12 most intense peaks (10° ≤ 2θ ≤ 80°), low angle first:
2θ/deg	d [Å]	I (rel.)
23.3	3.820	1000
38.4	2.346	267
38.5	2.336	528
45.4	1.999	331
45.7	1.987	162
55.4	1.659	90
55.9	1.645	43
60.9	1.521	67
61.1	1.516	133
69.5	1.352	177
69.8	1.347	87
74.3	1.276	74

Cell and atoms:
```
Cd3GaTe4
1.0
-3.317 3.317 6.581
3.317 -3.317 6.581
3.317 3.317 -6.581
Cd Ga Te
3 1 4
Cartesian
0.000 0.000 0.000
3.317 0.000 3.291
0.000 3.317 3.291
0.000 0.000 6.581
1.680 1.680 -1.619
1.637 -1.637 8.200
1.637 1.637 4.962
-1.637 1.637 8.200
```



[5]
This entry pairs a crystal structure of Sb4Pd15Pb with its computed X-ray powder pattern. Radiation: copper Kα. Structure: the PBE geometry in Alexandria.
Kinematic intensities with the Lorentz-polarization factor, no thermal factor.

The 10 most intense peaks (10° ≤ 2θ ≤ 80°), low angle first:
2θ/deg	d [Å]	I (rel.)
21.7	4.087	8
22.2	4.005	5
31.2	2.870	7
38.3	2.349	1000
44.3	2.043	330
45.0	2.016	156
64.5	1.445	106
65.0	1.435	204
77.6	1.231	247
78.5	1.218	116

Cell and atoms:
```
Sb4Pd15Pb
1.0
4.087 0.000 0.000
0.000 4.087 0.000
0.000 0.000 20.156
Sb Pd Pb
4 15 1
Cartesian
0.000 0.000 2.004
0.000 0.000 6.019
0.000 0.000 14.137
0.000 0.000 18.152
0.000 2.043 0.000
0.000 2.043 4.010
0.000 2.043 7.986
0.000 2.043 12.169
0.000 2.043 16.145
2.043 0.000 0.000
2.043 0.000 4.010
2.043 0.000 7.986
2.043 0.000 12.169
2.043 0.000 16.145
2.043 2.043 2.007
2.043 2.043 5.996
2.043 2.043 10.078
2.043 2.043 14.160
2.043 2.043 18.149
0.000 0.000 10.078
```



[6]
This entry pairs a crystal structure of TiTl2HgS4 with its computed X-ray powder pattern. Radiation: copper Kα. Structure: the PBE geometry in Alexandria.
Kinematic intensities with the Lorentz-polarization factor, no thermal factor.

The 12 most intense peaks (10° ≤ 2θ ≤ 80°), low angle first:
2θ/deg	d [Å]	I (rel.)
15.6	5.684	70
25.6	3.482	1000
30.1	2.971	77
36.6	2.458	173
45.1	2.012	290
45.2	2.008	238
52.5	1.742	85
59.2	1.561	73
59.4	1.555	108
71.6	1.318	84
71.8	1.315	101
71.9	1.314	62

Cell and atoms:
```
TiTl2HgS4
1.0
4.911 -4.938 0.000
4.911 4.938 0.000
-4.909 0.000 4.920
Ti Tl Hg S
1 2 1 4
Cartesian
0.000 0.000 0.000
2.457 2.464 2.460
4.911 -0.006 0.000
2.457 -2.470 2.460
-2.971 1.169 4.630
0.289 -1.168 1.939
7.885 1.169 0.289
4.625 -1.168 2.980
```



[7]
This entry pairs a crystal structure of AcMg5Cd3 with its computed X-ray powder pattern. Radiation: copper Kα. Structure: the PBE geometry in Alexandria.
Kinematic intensities with the Lorentz-polarization factor, no thermal factor.

The 12 most intense peaks (10° ≤ 2θ ≤ 80°), low angle first:
2θ/deg	d [Å]	I (rel.)
13.3	6.638	307
23.7	3.756	436
24.5	3.632	705
26.9	3.310	238
28.3	3.152	521
29.8	2.999	1000
33.0	2.717	351
36.2	2.483	235
37.2	2.419	280
38.1	2.363	299
40.9	2.204	300
59.1	1.562	288

Cell and atoms:
```
AcMg5Cd3
1.0
2.204 -7.512 0.000
2.204 7.512 0.000
0.000 0.000 14.184
Ac Mg Cd
2 10 6
Cartesian
2.204 5.030 10.638
2.204 -5.030 3.546
0.000 0.000 0.000
0.000 0.000 7.092
2.204 4.573 0.785
2.204 4.573 6.307
2.204 0.904 9.143
2.204 0.904 12.133
2.204 -0.904 2.051
2.204 -0.904 5.041
2.204 -4.573 7.877
2.204 -4.573 13.399
2.204 5.385 3.546
2.204 1.745 0.915
2.204 1.745 6.177
2.204 -1.745 8.007
2.204 -1.745 13.269
2.204 -5.385 10.638
```



[8]
This entry pairs a crystal structure of Tm6Fe2Cu with its computed X-ray powder pattern. Radiation: copper Kα. Structure: the PBE geometry in Alexandria.
Kinematic intensities with the Lorentz-polarization factor, no thermal factor.

The 12 most intense peaks (10° ≤ 2θ ≤ 80°), low angle first:
2θ/deg	d [Å]	I (rel.)
26.7	3.338	153
29.4	3.042	200
30.5	2.930	215
30.6	2.919	254
33.1	2.704	1000
35.3	2.540	394
36.0	2.497	384
36.3	2.474	422
39.0	2.308	285
56.2	1.636	155
57.5	1.602	143
61.7	1.504	235

Cell and atoms:
```
Tm6Fe2Cu
1.0
-4.611 4.617 4.833
4.611 -4.617 4.833
4.611 4.617 -4.833
Tm Fe Cu
12 4 2
Cartesian
4.611 -2.752 3.046
2.748 0.000 2.173
6.474 0.000 2.173
2.897 2.636 0.000
6.325 2.636 0.000
0.000 1.865 1.787
4.611 2.752 3.046
-1.714 1.981 4.833
1.714 1.981 4.833
-1.863 4.617 2.660
1.863 4.617 2.660
0.000 7.369 1.787
1.101 0.000 0.000
8.121 0.000 0.000
0.000 0.000 3.767
0.000 0.000 5.898
4.611 0.000 0.000
0.000 4.617 0.000
```



[9]
This entry pairs a crystal structure of V2GaSn2 with its computed X-ray powder pattern. Radiation: copper Kα. Structure: the PBE geometry in Alexandria.
Kinematic intensities with the Lorentz-polarization factor, no thermal factor.

The 12 most intense peaks (10° ≤ 2θ ≤ 80°), low angle first:
2θ/deg	d [Å]	I (rel.)
31.5	2.838	1000
31.9	2.809	311
34.1	2.628	902
35.9	2.500	659
39.2	2.297	894
39.5	2.283	699
40.6	2.222	463
41.2	2.190	630
41.8	2.160	972
43.2	2.093	698
66.4	1.408	521
68.3	1.373	265

Cell and atoms:
```
V2GaSn2
1.0
2.809 -9.410 0.000
2.809 9.410 0.000
0.000 0.000 6.755
V Ga Sn
8 4 8
Cartesian
2.809 8.010 6.575
1.404 2.974 5.066
1.404 -2.974 1.689
2.809 1.400 3.197
2.809 -1.400 3.558
4.213 2.974 5.066
4.213 -2.974 1.689
2.809 -8.010 0.181
1.404 0.326 5.066
1.404 -0.326 1.689
4.213 0.326 5.066
4.213 -0.326 1.689
2.809 7.317 3.905
2.809 5.230 6.235
2.809 4.180 2.858
2.809 2.093 0.527
2.809 -2.093 6.228
2.809 -4.180 3.898
2.809 -5.230 0.520
2.809 -7.317 2.851
```



[10]
This entry pairs a crystal structure of Cu2SbI4 with its computed X-ray powder pattern. Radiation: copper Kα. Structure: the PBE geometry in Alexandria.
Kinematic intensities with the Lorentz-polarization factor, no thermal factor.

The 12 most intense peaks (10° ≤ 2θ ≤ 80°), low angle first:
2θ/deg	d [Å]	I (rel.)
14.1	6.295	189
16.4	5.407	373
25.9	3.437	1000
26.2	3.403	209
28.4	3.148	130
31.8	2.815	185
38.8	2.321	134
41.6	2.169	590
44.0	2.058	167
45.6	1.991	173
46.0	1.971	207
57.4	1.606	110

Cell and atoms:
```
Cu2SbI4
1.0
-4.451 4.451 3.403
4.451 -4.451 3.403
4.451 4.451 -3.403
Cu Sb I
2 1 4
Cartesian
4.451 0.000 1.702
0.000 4.451 1.702
0.000 0.000 0.000
2.831 1.194 0.000
3.258 -1.620 3.403
1.194 6.071 0.000
1.620 3.258 3.403
```



[11]
This entry pairs a crystal structure of Rb2AlAu5 with its computed X-ray powder pattern. Radiation: copper Kα. Structure: the PBE geometry in Alexandria.
Kinematic intensities with the Lorentz-polarization factor, no thermal factor.

The 12 most intense peaks (10° ≤ 2θ ≤ 80°), low angle first:
2θ/deg	d [Å]	I (rel.)
15.7	5.633	319
16.1	5.518	565
16.6	5.350	216
31.8	2.816	1000
32.5	2.759	413
33.5	2.675	931
40.2	2.241	311
40.4	2.230	305
42.9	2.110	156
52.6	1.739	193
52.8	1.734	190
57.5	1.604	121

Cell and atoms:
```
Rb2AlAu5
1.0
6.118 0.000 0.000
-0.031 6.550 0.000
-3.038 -3.271 5.518
Rb Al Au
2 1 5
Cartesian
0.000 0.000 0.000
0.006 0.000 5.355
3.061 -0.005 1.828
-1.467 1.813 2.658
-1.480 4.742 2.655
-0.011 3.273 4.738
1.439 4.734 2.657
1.457 1.805 2.655
```



[12]
This entry pairs a crystal structure of MgCu2 with its computed X-ray powder pattern. Radiation: copper Kα. Structure: the PBE geometry in Alexandria.
Kinematic intensities with the Lorentz-polarization factor, no thermal factor.

The 12 most intense peaks (10° ≤ 2θ ≤ 80°), low angle first:
2θ/deg	d [Å]	I (rel.)
19.8	4.485	277
30.5	2.927	102
41.2	2.189	561
42.0	2.151	1000
46.1	1.968	119
59.6	1.552	100
59.7	1.548	174
62.1	1.495	60
63.6	1.463	42
68.6	1.369	17
75.7	1.257	307
77.3	1.235	120

Cell and atoms:
```
MgCu2
1.0
-1.548 1.548 4.485
1.548 -1.548 4.485
1.548 1.548 -4.485
Mg Cu
1 2
Cartesian
0.000 0.000 0.000
0.000 0.000 2.864
0.000 0.000 6.106
```



[13]
This entry pairs a crystal structure of Ac4Pr7Sm with its computed X-ray powder pattern. Radiation: copper Kα. Structure: the PBE geometry in Alexandria.
Kinematic intensities with the Lorentz-polarization factor, no thermal factor.

The 12 most intense peaks (10° ≤ 2θ ≤ 80°), low angle first:
2θ/deg	d [Å]	I (rel.)
28.7	3.112	1000
28.9	3.089	318
33.3	2.690	671
47.7	1.908	251
48.0	1.897	237
56.6	1.626	152
56.7	1.623	293
57.0	1.616	138
59.4	1.556	133
77.1	1.238	123
79.5	1.206	114
79.9	1.200	101

Cell and atoms:
```
Ac4Pr7Sm
1.0
3.815 0.000 0.000
-1.908 3.304 0.000
0.000 0.000 37.062
Ac Pr Sm
4 7 1
Cartesian
0.000 2.203 6.105
0.000 2.203 15.391
1.908 1.101 21.671
1.908 1.101 30.957
0.000 0.000 9.254
0.000 0.000 18.531
0.000 0.000 27.809
0.000 2.203 24.816
0.000 2.203 34.116
1.908 1.101 2.946
1.908 1.101 12.247
0.000 0.000 0.000
```